Starting from a structure optimized by DFT (PBE), the X-ray diffraction stick pattern of Pu3CdAg8 was calculated for CuKα.

Principal peaks in the range 15° ≤ 2θ ≤ 90°, most intense first:
- d 2.421, 2θ 37.1, I = 100.0, (1 1 6)
- d 2.843, 2θ 31.5, I = 32.1, (1 1 0)
- d 2.410, 2θ 37.3, I = 31.6, (1 0 10)
- d 2.828, 2θ 31.6, I = 31.6, (0 1 8)
- d 2.319, 2θ 38.8, I = 22.1, (0 2 4)
- d 1.422, 2θ 65.7, I = 16.8, (2 2 0)
- d 1.546, 2θ 59.8, I = 16.7, (3 0 6)
- d 1.414, 2θ 66.1, I = 16.4, (0 2 16)
- d 1.544, 2θ 59.9, I = 15.8, (2 1 10)
- d 1.639, 2θ 56.1, I = 12.8, (1 2 8)

Crystal structure
abc: 5.6866 5.6866 27.6311
angles: 90.00 90.00 120.00
Space group R3m (No. 160, hexagonal axes)
Asymmetric unit:
Pu 0.0000 0.0000 0.0000 x3
Pu 0.0000 0.0000 0.1262 x3
Pu 0.0000 0.0000 0.5004 x3
Cd 0.0000 0.0000 0.6257 x3
Ag 0.0000 0.0000 0.3127 x3
Ag 0.0000 0.0000 0.8136 x3
Ag 0.9996 0.4998 0.5643 x9
Ag 0.1673 0.3346 0.3956 x9